Entry 1:
This entry pairs a crystal structure of K3I2Br with its calculated powder X-ray diffraction pattern. Radiation: Cu Kα, 1.54184 Å. Structure: a structure optimized by DFT (PBE).
Neutral-atom scattering factors, no anomalous dispersion.

Peak list (10 most intense, 2θ from 10° to 80°, by angle)
index	2θ/deg	d (Å)	Rel. int.
1 0 1	22.0	4.047	31
0 1 2	25.4	3.513	100
1 0 4	36.0	2.492	37
1 1 0	36.3	2.476	38
1 1 3	42.7	2.117	11
2 0 2	44.8	2.024	20
0 2 4	52.1	1.756	12
1 1 6	58.6	1.575	16
1 2 2	58.9	1.567	17
2 1 4	65.1	1.433	12

Crystal structure
Lattice parameters (Å, degrees): 4.9517 4.9517 12.2477 90.00 90.00 120.00
Space group P-3m1 (No. 164)
Unique sites:
K (0.0000, 0.0000, 0.0000) (multiplicity 1)
K (0.3333, 0.6667, 0.6511) (multiplicity 2)
I (0.3333, 0.6667, 0.1735) (multiplicity 2)
Br (0.0000, 0.0000, 0.5000) (multiplicity 1)

Entry 2:
This entry pairs a crystal structure of Mn2Co2C with its calculated powder X-ray diffraction pattern. Radiation: Cu Kα, 1.54184 Å. Structure: a structure optimized by DFT (PBE).
Neutral-atom scattering factors, no anomalous dispersion.

Peak list (7 most intense, 2θ from 10° to 80°, by angle)
index	2θ/deg	d (Å)	Rel. int.
0 0 1	23.3	3.824	1
1 0 0	23.7	3.759	1
1 1 1	41.4	2.183	100
0 0 2	47.6	1.912	19
2 0 0	48.4	1.880	36
2 0 2	70.2	1.340	21
2 2 0	70.9	1.329	10

Crystal structure
Lattice parameters (Å, degrees): 3.759 3.759 3.824 90.00 90.00 90.00
Space group P4/mmm (No. 123)
Unique sites:
Mn (0.000, 0.000, 0.000) (multiplicity 1)
Mn (0.500, 0.500, 0.000) (multiplicity 1)
Co (0.000, 0.500, 0.500) (multiplicity 2)
C (0.000, 0.000, 0.500) (multiplicity 1)

Entry 3:
This entry pairs a crystal structure of KCr5S8 with its calculated powder X-ray diffraction pattern. Radiation: Cu Kα, 1.54184 Å. Structure: a structure optimized by DFT (PBE).
Neutral-atom scattering factors, no anomalous dispersion.

Peak list (10 most intense, 2θ from 10° to 80°, by angle)
index	2θ/deg	d (Å)	Rel. int.
2 0 0	10.2	8.689	46
0 0 1	10.5	8.390	96
2 0 -1	12.5	7.071	50
6 0 -2	32.4	2.760	43
3 1 1	33.1	2.705	100
3 1 -2	34.2	2.620	42
3 1 -3	40.9	2.206	59
3 1 3	47.5	1.915	46
0 2 0	52.2	1.752	40
9 1 -1	52.6	1.740	73

Crystal structure
Lattice parameters (Å, degrees): 18.057 3.504 8.717 90.00 105.76 90.00
Space group C2/m (No. 12)
Unique sites:
K (0.000, 0.000, 0.000) (multiplicity 2)
Cr (0.000, 0.500, 0.500) (multiplicity 2)
Cr (0.158, 0.000, 0.471) (multiplicity 4)
Cr (0.204, 0.000, 0.834) (multiplicity 4)
S (0.077, 0.000, 0.646) (multiplicity 4)
S (0.084, 0.500, 0.326) (multiplicity 4)
S (0.172, 0.500, 0.985) (multiplicity 4)
S (0.238, 0.500, 0.655) (multiplicity 4)

Entry 4:
This entry pairs a crystal structure of Y4CdNi with its calculated powder X-ray diffraction pattern. Radiation: Cu Kα, 1.54184 Å. Structure: a structure optimized by DFT (PBE).
Neutral-atom scattering factors, no anomalous dispersion.

Peak list (10 most intense, 2θ from 10° to 80°, by angle)
index	2θ/deg	d (Å)	Rel. int.
3 3 1	28.6	3.124	15
4 2 2	32.2	2.779	50
3 3 3	34.2	2.620	100
4 4 0	37.4	2.407	26
5 3 1	39.1	2.301	8
7 3 1	51.6	1.773	7
7 3 3	55.2	1.663	6
6 6 0	57.4	1.605	42
5 5 5	58.7	1.572	12
9 3 3	68.6	1.368	17

Crystal structure
Lattice parameters (Å, degrees): 13.616 13.616 13.616 90.00 90.00 90.00
Space group F-43m (No. 216)
Unique sites:
Y (0.000, 0.000, 0.187) (multiplicity 24)
Y (0.061, 0.250, 0.750) (multiplicity 24)
Y (0.099, 0.099, 0.401) (multiplicity 16)
Cd (0.168, 0.168, 0.168) (multiplicity 16)
Ni (0.108, 0.108, 0.608) (multiplicity 16)

Entry 5:
This entry pairs a crystal structure of HfMg with its calculated powder X-ray diffraction pattern. Radiation: Cu Kα, 1.54184 Å. Structure: a structure optimized by DFT (PBE).
Neutral-atom scattering factors, no anomalous dispersion.

Peak list (10 most intense, 2θ from 10° to 80°, by angle)
index	2θ/deg	d (Å)	Rel. int.
0 0 3	16.2	5.479	100
0 0 6	32.7	2.740	34
1 0 1	34.4	2.605	49
0 1 2	35.7	2.512	80
1 0 4	40.6	2.220	56
0 1 5	44.0	2.058	25
0 1 8	56.8	1.621	21
1 1 0	60.8	1.523	17
1 1 3	63.4	1.468	17
1 1 6	70.8	1.331	22

Crystal structure
Lattice parameters (Å, degrees): 3.0468 3.0468 16.4373 90.00 90.00 120.00
Space group R-3m (No. 166, hexagonal axes)
Unique sites:
Hf (0.0000, 0.0000, 0.0000) (multiplicity 3)
Mg (0.0000, 0.0000, 0.5000) (multiplicity 3)